For LuAgS2, a PBE-relaxed structure gives the computed powder diffraction line list in this record (copper Kα).

Most intense lines, 10° ≤ 2θ ≤ 80°, in order of rising 2θ:
index  two_theta  d_spacing  Rel. int.
1 1 2  27.9  3.201  100
0 0 4  29.8  3.002  50
2 0 0  33.5  2.675  78
2 0 4  45.4  1.997  60
3 1 2  56.5  1.629  29
2 2 4  57.6  1.600  29

Structure:
```
data_LuAgS2
_symmetry_space_group_name_H-M 'I 41/a m d'
_symmetry_Int_Tables_number 141
_cell_length_a 5.3508
_cell_length_b 5.3508
_cell_length_c 12.0075
_cell_angle_alpha 90.00
_cell_angle_beta 90.00
_cell_angle_gamma 90.00
loop_
_symmetry_equiv_pos_as_xyz
'x,y,z'
'-x,-y,-z'
'-y+1/4,x+3/4,z+1/4'
'y+1/4,-x+3/4,-z+1/4'
'-x+1/2,-y,z+1/2'
'x+1/2,y,-z+1/2'
'y+1/4,-x+1/4,z+3/4'
'-y+1/4,x+1/4,-z+3/4'
'x,-y,-z'
'-x,y,z'
'-y+1/4,-x+1/4,-z+3/4'
'y+1/4,x+1/4,z+3/4'
'-x+1/2,y,-z+1/2'
'x+1/2,-y,z+1/2'
'y+1/4,x+3/4,-z+1/4'
'-y+1/4,-x+3/4,z+1/4'
'x+1/2,y+1/2,z+1/2'
'-x+1/2,-y+1/2,-z+1/2'
'-y+3/4,x+1/4,z+3/4'
'y+3/4,-x+1/4,-z+3/4'
'-x,-y+1/2,z'
'x,y+1/2,-z'
'y+3/4,-x+3/4,z+1/4'
'-y+3/4,x+3/4,-z+1/4'
'x+1/2,-y+1/2,-z+1/2'
'-x+1/2,y+1/2,z+1/2'
'-y+3/4,-x+3/4,-z+1/4'
'y+3/4,x+3/4,z+1/4'
'-x,y+1/2,-z'
'x,-y+1/2,z'
'y+3/4,x+1/4,-z+3/4'
'-y+3/4,-x+1/4,z+3/4'
loop_
_atom_site_label
_atom_site_type_symbol
_atom_site_fract_x
_atom_site_fract_y
_atom_site_fract_z
Lu1 Lu 0.0000 0.2500 0.3750
Ag1 Ag 0.0000 0.2500 0.8750
S1 S 0.0000 0.2500 0.1511
```

=====

For LuAgS2, a PBE-relaxed structure gives the computed powder diffraction line list in this record (copper Kα).

Most intense lines, 10° ≤ 2θ ≤ 80°, in order of rising 2θ:
index  two_theta  d_spacing  Rel. int.
1 0 1  28.3  3.150  100
1 1 0  32.6  2.749  92
0 0 2  33.4  2.686  43
2 0 0  46.7  1.944  32
1 1 2  47.3  1.921  63
2 0 2  58.6  1.575  32

Structure:
```
data_LuAgS2
_symmetry_space_group_name_H-M 'P 4/m m m'
_symmetry_Int_Tables_number 123
_symmetry_space_group_name_Hall '-P 4 2'
_cell_length_a 3.8877
_cell_length_b 3.8877
_cell_length_c 5.3724
_cell_angle_alpha 90.00
_cell_angle_beta 90.00
_cell_angle_gamma 90.00
loop_
_atom_site_label
_atom_site_type_symbol
_atom_site_fract_x
_atom_site_fract_y
_atom_site_fract_z
Lu1 Lu 0.0000 0.0000 0.0000
Ag1 Ag 0.5000 0.5000 0.5000
S1 S 0.0000 0.0000 0.5000
S2 S 0.5000 0.5000 0.0000
```